# 1
This entry pairs a crystal structure of Tb4Tm6Zr with its simulated PXRD pattern. Radiation: a wavelength of 1.5418 Å. Structure: DFT lattice parameters and positions (GGA-PBE).

Peak list (8 most intense, 15° ≤ 2θ ≤ 90°, sorted by position)
| Position (°2θ) | I_rel |
| --- | --- |
| 30.7 | 100 |
| 32.7 | 57 |
| 38.5 | 10 |
| 48.0 | 11 |
| 53.4 | 11 |
| 61.4 | 21 |
| 62.0 | 10 |
| 68.3 | 10 |

Crystal structure
Unit cell a=8.660 b=8.660 c=8.816 alpha=90.00 beta=90.00 gamma=90.00
Space group P4/mnc (No. 128)
Asymmetric unit:
Tb1 0.146 0.354 0.250 [8 per cell]
Tm1 0.000 0.000 0.174 [4 per cell]
Tm2 0.152 0.654 0.500 [8 per cell]
Zr1 0.000 0.000 0.500 [2 per cell]

***

# 2
This entry pairs a crystal structure of TbTm3Zr with its simulated PXRD pattern. Radiation: a wavelength of 1.5418 Å. Structure: DFT lattice parameters and positions (GGA-PBE).

Peak list (8 most intense, 15° ≤ 2θ ≤ 90°, sorted by position)
| Position (°2θ) | I_rel |
| --- | --- |
| 31.8 | 99 |
| 31.9 | 100 |
| 36.9 | 33 |
| 37.0 | 67 |
| 53.2 | 45 |
| 63.4 | 32 |
| 63.5 | 13 |
| 63.6 | 27 |

Crystal structure
Unit cell a=3.424 b=9.109 c=9.746 alpha=74.36 beta=89.95 gamma=79.18
Space group P-1 (No. 2)
Asymmetric unit:
Tb1 0.103 0.293 0.058 [2 per cell]
Tm1 0.107 0.287 0.546 [2 per cell]
Tm2 0.296 0.908 0.158 [2 per cell]
Tm3 0.497 0.505 0.748 [2 per cell]
Zr1 0.296 0.909 0.637 [2 per cell]

***

Repeat the second record exactly.
This entry pairs a crystal structure of TbTm3Zr with its simulated PXRD pattern. Radiation: a wavelength of 1.5418 Å. Structure: DFT lattice parameters and positions (GGA-PBE).

Peak list (8 most intense, 15° ≤ 2θ ≤ 90°, sorted by position)
| Position (°2θ) | I_rel |
| --- | --- |
| 31.8 | 99 |
| 31.9 | 100 |
| 36.9 | 33 |
| 37.0 | 67 |
| 53.2 | 45 |
| 63.4 | 32 |
| 63.5 | 13 |
| 63.6 | 27 |

Crystal structure
Unit cell a=3.424 b=9.109 c=9.746 alpha=74.36 beta=89.95 gamma=79.18
Space group P-1 (No. 2)
Asymmetric unit:
Tb1 0.103 0.293 0.058 [2 per cell]
Tm1 0.107 0.287 0.546 [2 per cell]
Tm2 0.296 0.908 0.158 [2 per cell]
Tm3 0.497 0.505 0.748 [2 per cell]
Zr1 0.296 0.909 0.637 [2 per cell]

***

What did the first record say?
This entry pairs a crystal structure of Tb4Tm6Zr with its simulated PXRD pattern. Radiation: a wavelength of 1.5418 Å. Structure: DFT lattice parameters and positions (GGA-PBE).

Peak list (8 most intense, 15° ≤ 2θ ≤ 90°, sorted by position)
| Position (°2θ) | I_rel |
| --- | --- |
| 30.7 | 100 |
| 32.7 | 57 |
| 38.5 | 10 |
| 48.0 | 11 |
| 53.4 | 11 |
| 61.4 | 21 |
| 62.0 | 10 |
| 68.3 | 10 |

Crystal structure
Unit cell a=8.660 b=8.660 c=8.816 alpha=90.00 beta=90.00 gamma=90.00
Space group P4/mnc (No. 128)
Asymmetric unit:
Tb1 0.146 0.354 0.250 [8 per cell]
Tm1 0.000 0.000 0.174 [4 per cell]
Tm2 0.152 0.654 0.500 [8 per cell]
Zr1 0.000 0.000 0.500 [2 per cell]